Entry 1:
LiVBO4: simulated powder X-ray diffraction pattern (Cu Kα), based on the GGA+U geometry in the Materials Project.
Kinematic intensities with the Lorentz-polarization factor, no thermal factor.

Structural model:
a b c (Å): 8.323 4.852 8.177
angles (deg): 90.00 106.19 90.00
Fractional positions:
Li: 0.000 0.172 0.000
Li: 0.000 0.828 0.500
Li: 0.497 0.311 0.391
Li: 0.497 0.689 0.891
V: 0.247 0.185 0.760
V: 0.247 0.815 0.260
V: 0.747 0.320 0.149
V: 0.747 0.680 0.649
B: 0.121 0.310 0.378
B: 0.121 0.690 0.878
B: 0.624 0.195 0.780
B: 0.624 0.805 0.280
O: 0.112 0.196 0.544
O: 0.112 0.804 0.044
O: 0.142 0.390 0.889
O: 0.142 0.610 0.389
O: 0.262 0.181 0.325
O: 0.262 0.819 0.825
O: 0.466 0.283 0.819
O: 0.466 0.717 0.319
O: 0.622 0.105 0.252
O: 0.622 0.895 0.752
O: 0.643 0.344 0.629
O: 0.643 0.656 0.129
O: 0.763 0.277 0.930
O: 0.763 0.723 0.430
O: 0.964 0.231 0.247
O: 0.964 0.769 0.747

Top 6 peaks for 2θ from 10° to 90°, low angle first:
2θ/deg  d (Å)  Rel. int.
22.25  3.996  90.8
22.65  3.926  45.3
22.75  3.909  100.0
25.70  3.466  30.8
27.97  3.190  38.6
37.06  2.426  30.6

Entry 2:
LiVB2O5: simulated powder X-ray diffraction pattern (Cu Kα), based on the GGA+U geometry in the Materials Project.
Kinematic intensities with the Lorentz-polarization factor, no thermal factor.

Structural model:
a b c (Å): 7.331 7.331 9.829
angles (deg): 110.37 110.37 90.88
Fractional positions:
Li: 0.120 0.880 0.750
Li: 0.340 0.660 0.250
Li: 0.660 0.340 0.750
Li: 0.880 0.120 0.250
V: 0.143 0.459 0.850
V: 0.459 0.143 0.350
V: 0.541 0.857 0.650
V: 0.857 0.541 0.150
B: 0.098 0.764 0.475
B: 0.236 0.902 0.025
B: 0.261 0.272 0.096
B: 0.272 0.261 0.596
B: 0.728 0.739 0.404
B: 0.739 0.728 0.904
B: 0.764 0.098 0.975
B: 0.902 0.236 0.525
O: 0.075 0.218 0.489
O: 0.097 0.686 0.328
O: 0.166 0.736 0.891
O: 0.204 0.419 0.041
O: 0.218 0.075 0.989
O: 0.264 0.834 0.609
O: 0.314 0.903 0.172
O: 0.325 0.354 0.753
O: 0.354 0.325 0.253
O: 0.419 0.204 0.541
O: 0.581 0.796 0.459
O: 0.646 0.675 0.747
O: 0.675 0.646 0.247
O: 0.686 0.097 0.828
O: 0.736 0.166 0.391
O: 0.782 0.925 0.011
O: 0.796 0.581 0.959
O: 0.834 0.264 0.109
O: 0.903 0.314 0.672
O: 0.925 0.782 0.511

Top 6 peaks for 2θ from 10° to 90°, low angle first:
2θ/deg  d (Å)  Rel. int.
19.54  4.543  25.0
19.91  4.460  57.9
20.44  4.344  26.8
24.29  3.664  100.0
26.69  3.340  24.8
37.30  2.411  22.6

Entry 3:
Li2VBO4: simulated powder X-ray diffraction pattern (Cu Kα), based on the GGA+U geometry in the Materials Project.
Kinematic intensities with the Lorentz-polarization factor, no thermal factor.

Structural model:
a b c (Å): 4.750 5.183 6.248
angles (deg): 89.97 89.99 89.95
Fractional positions:
Li: 0.000 0.000 0.000
Li: 0.002 0.458 0.748
Li: 0.499 0.620 0.499
Li: 0.503 0.162 0.248
V: 0.004 0.986 0.490
V: 0.504 0.634 0.989
B: 0.488 0.131 0.747
B: 0.988 0.489 0.247
O: 0.085 0.213 0.252
O: 0.090 0.624 0.446
O: 0.094 0.620 0.046
O: 0.175 0.118 0.744
O: 0.584 0.407 0.752
O: 0.591 0.996 0.946
O: 0.594 0.000 0.546
O: 0.675 0.502 0.244

Top 6 peaks for 2θ from 10° to 90°, low angle first:
2θ/deg  d (Å)  Rel. int.
22.28  3.989  88.2
23.53  3.781  100.0
33.49  2.676  54.9
34.61  2.592  33.3
37.88  2.375  50.6
38.62  2.331  31.1

Entry 4:
Li2VBO4: simulated powder X-ray diffraction pattern (Cu Kα), based on the GGA+U geometry in the Materials Project.
Kinematic intensities with the Lorentz-polarization factor, no thermal factor.

Structural model:
a b c (Å): 5.869 5.447 4.718
angles (deg): 90.00 90.00 90.00
Fractional positions:
Li: 0.246 0.158 0.000
Li: 0.254 0.842 0.500
Li: 0.746 0.842 0.500
Li: 0.754 0.158 0.000
V: 0.000 0.364 0.493
V: 0.500 0.636 0.993
B: 0.000 0.677 0.014
B: 0.500 0.323 0.514
O: 0.000 0.411 0.917
O: 0.000 0.681 0.330
O: 0.211 0.807 0.913
O: 0.289 0.193 0.413
O: 0.500 0.319 0.830
O: 0.500 0.589 0.417
O: 0.711 0.193 0.413
O: 0.789 0.807 0.913

Top 6 peaks for 2θ from 10° to 90°, low angle first:
2θ/deg  d (Å)  Rel. int.
16.27  5.447  100.0
24.97  3.566  99.4
34.73  2.583  88.2
36.37  2.471  36.7
38.15  2.359  83.6
49.56  1.839  37.4

Entry 5:
LiVBO4: simulated powder X-ray diffraction pattern (Cu Kα), based on the GGA+U geometry in the Materials Project.
Kinematic intensities with the Lorentz-polarization factor, no thermal factor.

Structural model:
a b c (Å): 8.402 8.402 5.200
angles (deg): 90.00 90.00 110.53
Fractional positions:
Li: 0.225 0.731 0.000
Li: 0.269 0.775 0.500
Li: 0.731 0.225 0.500
Li: 0.775 0.269 0.000
V: 0.175 0.371 0.306
V: 0.371 0.175 0.806
V: 0.629 0.825 0.806
V: 0.825 0.629 0.306
B: 0.077 0.307 0.753
B: 0.307 0.077 0.253
B: 0.693 0.923 0.253
B: 0.923 0.693 0.753
O: 0.021 0.689 0.542
O: 0.026 0.305 0.001
O: 0.238 0.309 0.666
O: 0.266 0.581 0.267
O: 0.305 0.026 0.501
O: 0.309 0.238 0.166
O: 0.311 0.979 0.042
O: 0.419 0.734 0.767
O: 0.581 0.266 0.767
O: 0.689 0.021 0.042
O: 0.691 0.762 0.166
O: 0.695 0.974 0.501
O: 0.734 0.419 0.267
O: 0.762 0.691 0.666
O: 0.974 0.695 0.001
O: 0.979 0.311 0.542

Top 6 peaks for 2θ from 10° to 90°, low angle first:
2θ/deg  d (Å)  Rel. int.
18.54  4.787  100.0
20.47  4.338  37.5
22.60  3.934  34.9
25.81  3.452  41.6
27.50  3.243  34.0
28.45  3.137  31.7

Entry 6:
MgMn2B2O6: simulated powder X-ray diffraction pattern (Cu Kα), based on the GGA+U geometry in the Materials Project.
Kinematic intensities with the Lorentz-polarization factor, no thermal factor.

Structural model:
a b c (Å): 5.022 5.074 5.889
angles (deg): 85.88 72.51 60.37
Fractional positions:
Mg: 0.000 0.000 0.000
Mn: 0.095 0.420 0.653
Mn: 0.549 0.709 0.324
B: 0.302 0.361 0.089
B: 0.786 0.060 0.580
O: 0.037 0.372 0.038
O: 0.055 0.023 0.640
O: 0.300 0.631 0.112
O: 0.548 0.085 0.116
O: 0.561 0.344 0.546
O: 0.760 0.806 0.558

Top 6 peaks for 2θ from 10° to 90°, low angle first:
2θ/deg  d (Å)  Rel. int.
22.41  3.967  75.3
26.95  3.309  73.6
30.46  2.934  100.0
34.22  2.620  73.4
35.50  2.529  62.0
36.43  2.466  95.8

Entry 7:
Mg14MnBO16: simulated powder X-ray diffraction pattern (Cu Kα), based on the GGA+U geometry in the Materials Project.
Kinematic intensities with the Lorentz-polarization factor, no thermal factor.

Structural model:
a b c (Å): 8.534 8.534 4.249
angles (deg): 90.00 90.00 90.00
Fractional positions:
Mg: 0.000 0.247 0.000
Mg: 0.000 0.500 0.500
Mg: 0.000 0.753 0.000
Mg: 0.247 0.000 0.000
Mg: 0.247 0.247 0.500
Mg: 0.247 0.753 0.500
Mg: 0.248 0.500 0.000
Mg: 0.500 0.000 0.500
Mg: 0.500 0.248 0.000
Mg: 0.500 0.752 0.000
Mg: 0.752 0.500 0.000
Mg: 0.753 0.000 0.000
Mg: 0.753 0.247 0.500
Mg: 0.753 0.753 0.500
Mn: 0.500 0.500 0.500
B: 0.000 0.000 0.500
O: 0.000 0.000 0.000
O: 0.000 0.247 0.500
O: 0.000 0.500 0.000
O: 0.000 0.753 0.500
O: 0.243 0.500 0.500
O: 0.247 0.000 0.500
O: 0.250 0.250 0.000
O: 0.250 0.750 0.000
O: 0.500 0.000 0.000
O: 0.500 0.243 0.500
O: 0.500 0.500 0.000
O: 0.500 0.757 0.500
O: 0.750 0.250 0.000
O: 0.750 0.750 0.000
O: 0.753 0.000 0.500
O: 0.757 0.500 0.500

Top 6 peaks for 2θ from 10° to 90°, low angle first:
2θ/deg  d (Å)  Rel. int.
36.53  2.460  17.4
42.37  2.133  100.0
42.55  2.125  49.5
61.47  1.509  27.9
61.61  1.505  55.5
77.62  1.230  25.1

Entry 8:
MgMn2B8O14: simulated powder X-ray diffraction pattern (Cu Kα), based on the GGA+U geometry in the Materials Project.
Kinematic intensities with the Lorentz-polarization factor, no thermal factor.

Structural model:
a b c (Å): 7.209 7.209 5.075
angles (deg): 90.75 90.75 106.71
Fractional positions:
Mg: 0.000 0.000 0.000
Mn: 0.346 0.249 0.247
Mn: 0.751 0.654 0.753
B: 0.258 0.363 0.737
B: 0.322 0.678 0.500
B: 0.324 0.676 0.000
B: 0.458 0.152 0.738
B: 0.637 0.742 0.263
B: 0.767 0.233 0.000
B: 0.776 0.224 0.500
B: 0.848 0.542 0.262
O: 0.252 0.729 0.248
O: 0.264 0.165 0.722
O: 0.267 0.454 0.506
O: 0.271 0.449 0.977
O: 0.271 0.748 0.752
O: 0.546 0.733 0.494
O: 0.548 0.173 0.978
O: 0.551 0.729 0.023
O: 0.555 0.164 0.508
O: 0.827 0.452 0.022
O: 0.828 0.152 0.242
O: 0.835 0.736 0.278
O: 0.836 0.445 0.492
O: 0.848 0.172 0.758

Top 6 peaks for 2θ from 10° to 90°, low angle first:
2θ/deg  d (Å)  Rel. int.
12.82  6.904  47.6
25.81  3.452  100.0
30.79  2.904  18.5
32.15  2.784  54.5
43.80  2.067  18.7
47.68  1.907  22.2